For HPd3Pt, a structure optimized by DFT (PBE) gives the theoretical XRD peak list in this record (λ = 1.5418 Å (Cu Kα)).

Structure:
Unit cell a=4.914 b=5.668 c=5.690 alpha=60.31 beta=89.72 gamma=73.11
Space group P1 (No. 1)
Asymmetric unit:
H (0.000, 0.000, 0.000) [1 per cell]
H (0.166, 0.515, 0.253) [1 per cell]
Pd (0.382, 0.360, 0.063) [1 per cell]
Pd (0.391, 0.860, 0.068) [1 per cell]
Pd (0.871, 0.379, 0.808) [1 per cell]
Pd (0.875, 0.862, 0.809) [1 per cell]
Pd (0.877, 0.861, 0.327) [1 per cell]
Pd (0.878, 0.356, 0.320) [1 per cell]
Pt (0.380, 0.862, 0.567) [1 per cell]
Pt (0.385, 0.359, 0.574) [1 per cell]

Largest 10 diffraction maxima, sorted by position, 2θ = 10–90°:
two_theta  Rel. int.  hkl
38.8  100.0  2 0 0
44.8  16.5  1 0 2
45.2  16.2  2 2 0
45.3  16.0  -1 2 2
65.6  15.7  3 2 2
65.9  10.4  3 0 -2
78.5  6.2  0 0 4
78.6  6.2  3 0 2
79.0  6.2  2 4 0
79.3  12.2  0 4 4

For HPd3Pt, a structure optimized by DFT (PBE) gives the theoretical XRD peak list in this record (λ = 1.5418 Å (Cu Kα)).

Structure:
Unit cell a=4.929 b=5.733 c=4.943 alpha=90.00 beta=109.62 gamma=90.00
Space group P2 (No. 3)
Asymmetric unit:
H (0.116, 0.000, 0.380) [2 per cell]
Pd (0.000, 0.488, 0.000) [1 per cell]
Pd (0.000, 0.724, 0.500) [1 per cell]
Pd (0.000, 0.986, 0.000) [1 per cell]
Pd (0.500, 0.242, 0.000) [1 per cell]
Pd (0.500, 0.732, 0.000) [1 per cell]
Pd (0.500, 0.984, 0.500) [1 per cell]
Pt (0.000, 0.263, 0.500) [1 per cell]
Pt (0.500, 0.487, 0.500) [1 per cell]

Largest 10 diffraction maxima, sorted by position, 2θ = 10–90°:
two_theta  Rel. int.  hkl
38.5  100.0  1 2 -1
38.7  50.6  0 0 2
38.8  50.2  2 0 0
44.9  97.3  2 0 -2
65.3  21.0  1 2 -3
65.5  20.9  3 2 -1
78.4  23.3  2 4 0
78.6  18.6  2 0 -4
78.7  12.3  1 2 3
78.8  18.5  4 0 -2

For H5PdPt2, a structure optimized by DFT (PBE) gives the theoretical XRD peak list in this record (λ = 1.5418 Å (Cu Kα)).

Structure:
Unit cell a=3.532 b=10.745 c=3.613 alpha=90.00 beta=90.02 gamma=90.00
Space group P2_1/m (No. 11)
Asymmetric unit:
H (0.000, 0.102, 0.217) [4 per cell]
H (0.496, 0.057, 0.746) [4 per cell]
H (0.499, 0.750, 0.479) [2 per cell]
Pd (0.000, 0.250, 0.748) [2 per cell]
Pt (0.500, 0.111, 0.234) [4 per cell]

Largest 10 diffraction maxima, sorted by position, 2θ = 10–90°:
two_theta  Rel. int.  hkl
25.2  40.1  1 0 0
30.3  21.4  1 2 0
35.3  87.4  0 3 1
36.5  100.0  1 1 1
42.3  58.7  1 4 0
43.9  24.2  1 3 1
50.5  19.4  0 0 2
64.2  31.0  2 3 1
67.9  28.5  1 4 2
72.0  26.9  1 7 1